No. 1
For SrSb6, a structure optimized by DFT (PBE) gives the calculated powder XRD pattern in this record (λ = 1.5418 Å (Cu Kα)).
Intensities are scaled so that the largest is 100.

Cell and atoms:
abc: 8.426 8.426 8.426
angles: 90.00 90.00 90.00
Fractional coordinates of all 14 atoms:
Sr (0.000, 0.000, 0.000)
Sr (0.500, 0.500, 0.500)
Sb (0.000, 0.250, 0.500)
Sb (0.000, 0.500, 0.250)
Sb (0.000, 0.500, 0.750)
Sb (0.000, 0.750, 0.500)
Sb (0.250, 0.000, 0.500)
Sb (0.250, 0.500, 0.000)
Sb (0.500, 0.000, 0.250)
Sb (0.500, 0.000, 0.750)
Sb (0.500, 0.250, 0.000)
Sb (0.500, 0.750, 0.000)
Sb (0.750, 0.000, 0.500)
Sb (0.750, 0.500, 0.000)

Most intense lines, 15 to 90 degrees two-theta, by angle:
- 21.1°, I 41
- 25.9°, I 100
- 37.0°, I 49
- 40.0°, I 62
- 42.9°, I 39
- 48.3°, I 18
- 60.2°, I 18
- 62.3°, I 25
- 68.7°, I 19
- 74.7°, I 18



No. 2
For DyZn4Pt, a structure optimized by DFT (PBE) gives the calculated powder XRD pattern in this record (λ = 1.5418 Å (Cu Kα)).
Intensities are scaled so that the largest is 100.

Cell and atoms:
abc: 5.188 5.188 5.188
angles: 60.00 60.00 60.00
Fractional coordinates of all 6 atoms:
Dy (0.000, 0.000, 0.000)
Zn (0.127, 0.624, 0.624)
Zn (0.624, 0.127, 0.624)
Zn (0.624, 0.624, 0.127)
Zn (0.624, 0.624, 0.624)
Pt (0.250, 0.250, 0.250)

Most intense lines, 15 to 90 degrees two-theta, by angle:
- 21.0°, I 13
- 34.6°, I 63
- 40.8°, I 100
- 42.7°, I 16
- 62.0°, I 24
- 66.2°, I 31
- 72.9°, I 23
- 83.3°, I 11
- 87.1°, I 11
- 88.4°, I 5



No. 3
For Cu7S2O21, a structure optimized by DFT (PBE) gives the calculated powder XRD pattern in this record (λ = 1.5418 Å (Cu Kα)).
Intensities are scaled so that the largest is 100.

Cell and atoms:
abc: 7.949 7.949 7.085
angles: 90.00 90.00 120.00
Fractional coordinates of all 30 atoms:
Cu (0.000, 0.000, 0.000)
Cu (0.130, 0.425, 0.983)
Cu (0.296, 0.870, 0.983)
Cu (0.425, 0.296, 0.017)
Cu (0.575, 0.704, 0.983)
Cu (0.704, 0.130, 0.017)
Cu (0.870, 0.575, 0.017)
S (0.333, 0.667, 0.545)
S (0.667, 0.333, 0.455)
O (0.000, 0.000, 0.500)
O (0.092, 0.864, 0.857)
O (0.121, 0.634, 0.097)
O (0.136, 0.227, 0.857)
O (0.173, 0.479, 0.479)
O (0.227, 0.092, 0.143)
O (0.306, 0.827, 0.479)
O (0.333, 0.667, 0.761)
O (0.366, 0.487, 0.097)
O (0.479, 0.306, 0.521)
O (0.487, 0.121, 0.903)
O (0.513, 0.879, 0.097)
O (0.521, 0.694, 0.479)
O (0.634, 0.513, 0.903)
O (0.667, 0.333, 0.239)
O (0.694, 0.173, 0.521)
O (0.773, 0.908, 0.857)
O (0.827, 0.521, 0.521)
O (0.864, 0.773, 0.143)
O (0.879, 0.366, 0.903)
O (0.908, 0.136, 0.143)

Most intense lines, 15 to 90 degrees two-theta, by angle:
- 25.1°, I 94
- 25.7°, I 19
- 34.5°, I 61
- 36.8°, I 73
- 43.1°, I 100
- 52.3°, I 37
- 61.8°, I 28
- 63.3°, I 17
- 63.5°, I 31
- 67.8°, I 24